(1)
# Al4CoB2O10
Simulated X-ray powder pattern, Cu Kα (weighted mean of Kα1 and Kα2). Input: DFT lattice parameters and positions (GGA+U).
Lines closer than 0.1° are merged.

Principal peaks in the range 2θ from 10° to 80°, by angle:
hkl 0 1 1, 2θ = 22.4°, d = 3.963 Å, rel. 58
hkl 2 1 -1, 2θ = 32.0°, d = 2.798 Å, rel. 83
hkl 1 1 -3, 2θ = 34.8°, d = 2.576 Å, rel. 69
hkl 2 1 1, 2θ = 36.8°, d = 2.440 Å, rel. 69
hkl 1 1 -4, 2θ = 42.8°, d = 2.111 Å, rel. 67
hkl 2 2 2, 2θ = 56.7°, d = 1.624 Å, rel. 100

Lattice parameters (Å, degrees): 7.269 4.399 9.618 90.00 108.44 90.00
Atoms (fractional coordinates):
1 Al 0.075 0.006 0.391
2 Al 0.075 0.494 0.891
3 Al 0.297 0.022 0.168
4 Al 0.297 0.478 0.668
5 Al 0.703 0.522 0.332
6 Al 0.703 0.978 0.832
7 Al 0.925 0.506 0.109
8 Al 0.925 0.994 0.609
9 Co 0.500 0.000 0.500
10 Co 0.500 0.500 0.000
11 B 0.291 0.571 0.351
12 B 0.291 0.929 0.851
13 B 0.709 0.071 0.149
14 B 0.709 0.429 0.649
15 O 0.113 0.215 0.561
16 O 0.113 0.285 0.061
17 O 0.121 0.743 0.243
18 O 0.121 0.757 0.743
19 O 0.281 0.242 0.344
20 O 0.281 0.258 0.844
21 O 0.288 0.699 0.496
22 O 0.288 0.801 0.996
23 O 0.459 0.709 0.315
24 O 0.459 0.791 0.815
25 O 0.541 0.209 0.185
26 O 0.541 0.291 0.685
27 O 0.712 0.199 0.004
28 O 0.712 0.301 0.504
29 O 0.719 0.742 0.156
30 O 0.719 0.758 0.656
31 O 0.879 0.243 0.257
32 O 0.879 0.257 0.757
33 O 0.887 0.715 0.939
34 O 0.887 0.785 0.439

***

(2)
# Al9CrB2O18
Simulated X-ray powder pattern, Cu Kα (weighted mean of Kα1 and Kα2). Input: DFT lattice parameters and positions (GGA+U).
Lines closer than 0.1° are merged.

Principal peaks in the range 2θ from 10° to 80°, by angle:
hkl 0 1 1, 2θ = 16.3°, d = 5.449 Å, rel. 100
hkl 1 1 -1, 2θ = 20.0°, d = 4.438 Å, rel. 42
hkl 0 1 2, 2θ = 26.0°, d = 3.424 Å, rel. 18
hkl 0 2 -2, 2θ = 32.8°, d = 2.729 Å, rel. 17
hkl 0 2 2, 2θ = 32.9°, d = 2.721 Å, rel. 18
hkl 2 1 0, 2θ = 35.1°, d = 2.554 Å, rel. 18

Lattice parameters (Å, degrees): 5.780 7.777 8.161 90.10 110.62 90.18
Atoms (fractional coordinates):
1 Al 0.000 0.000 0.000
2 Al 0.039 0.353 0.083
3 Al 0.109 0.185 0.721
4 Al 0.181 0.002 0.372
5 Al 0.294 0.507 0.602
6 Al 0.373 0.686 0.258
7 Al 0.445 0.851 0.899
8 Al 0.486 0.502 0.981
9 Al 0.877 0.686 0.256
10 Cr 0.605 0.188 0.720
11 B 0.725 0.966 0.452
12 B 0.758 0.471 0.522
13 O 0.075 0.817 0.151
14 O 0.092 0.149 0.191
15 O 0.191 0.984 0.870
16 O 0.195 0.616 0.398
17 O 0.270 0.115 0.573
18 O 0.294 0.486 0.110
19 O 0.390 0.649 0.788
20 O 0.401 0.320 0.830
21 O 0.482 0.906 0.389
22 O 0.550 0.747 0.107
23 O 0.578 0.412 0.586
24 O 0.680 0.978 0.876
25 O 0.695 0.595 0.395
26 O 0.796 0.091 0.578
27 O 0.808 0.485 0.107
28 O 0.897 0.902 0.384
29 O 0.946 0.248 0.875
30 O 0.997 0.407 0.589

***

What is the formula in the first record?
Al4CoB2O10